Diffraction record for Np8H. The powder XRD pattern is simulated, not measured: it uses a crystal structure in Alexandria, relaxed with GGA-PBE and λ = 1.5418 Å (Cu Kα).
Kinematic intensities with the Lorentz-polarization factor, no thermal factor.

Cell: 4.8605 5.9316 5.9926 Å, 61.00 87.12 89.74°
Space group P-1 (No. 2)
Asymmetric unit:
Np (0.1904, 0.2683, 0.4459) [2 per cell]
Np (0.2504, 0.3386, 0.9980) [2 per cell]
Np (0.2680, 0.8405, 0.8950) [2 per cell]
Np (0.2776, 0.7151, 0.3646) [2 per cell]
H (0.5000, 0.0000, 0.5000) [1 per cell]

Peak list (10 most intense, 5° ≤ 2θ ≤ 70°, by intensity)
2θ 37.05, I 100, hkl 2 0 0
2θ 34.59, I 68, hkl 0 2 0
2θ 35.39, I 67, hkl 1 2 1
2θ 38.17, I 55, hkl 1 0 2
2θ 34.27, I 37, hkl 0 0 2
2θ 40.04, I 34, hkl 1 0 -2
2θ 29.86, I 33, hkl 0 1 2
2θ 65.56, I 33, hkl 3 2 1
2θ 35.56, I 33, hkl -1 2 1
2θ 50.97, I 30, hkl 2 -2 0